K8CaTe6: calculated powder X-ray diffraction pattern (Cu Kα (weighted mean of Kα1 and Kα2)), based on a PBE-relaxed structure.
Peak positions follow from Bragg's law for the DFT cell and can differ from measured ones.

```
data_K8CaTe6
_symmetry_space_group_name_H-M 'I -4 2 m'
_symmetry_Int_Tables_number 121
_symmetry_space_group_name_Hall 'I -4 2'
_cell_length_a 13.564
_cell_length_b 13.564
_cell_length_c 6.315
_cell_angle_alpha 90.00
_cell_angle_beta 90.00
_cell_angle_gamma 90.00
loop_
_atom_site_label
_atom_site_type_symbol
_atom_site_fract_x
_atom_site_fract_y
_atom_site_fract_z
K1 K 0.087 0.278 0.253
Ca1 Ca 0.000 0.000 0.000
Te1 Te 0.000 0.500 0.000
Te2 Te 0.146 0.146 0.765
```

Largest 8 diffraction maxima, by intensity, 10° ≤ 2θ ≤ 90°:
2theta, intensity, h k l
20.71, 100, 3 1 0
20.30, 88, 2 1 1
27.60, 80, 3 2 1
29.45, 77, 4 2 0
38.48, 72, 5 2 1
30.64, 69, 4 1 1
38.98, 54, 4 0 2
57.00, 54, 6 4 2


DyMgTl: calculated powder X-ray diffraction pattern (Cu Kα (weighted mean of Kα1 and Kα2)), based on a PBE-relaxed structure.
Peak positions follow from Bragg's law for the DFT cell and can differ from measured ones.

```
data_DyMgTl
_symmetry_space_group_name_H-M 'P -6 2 m'
_symmetry_Int_Tables_number 189
_symmetry_space_group_name_Hall 'P -6 -2'
_cell_length_a 7.5712
_cell_length_b 7.5712
_cell_length_c 4.6734
_cell_angle_alpha 90.00
_cell_angle_beta 90.00
_cell_angle_gamma 120.00
loop_
_atom_site_label
_atom_site_type_symbol
_atom_site_fract_x
_atom_site_fract_y
_atom_site_fract_z
Dy1 Dy 0.0000 0.5708 0.0000
Mg1 Mg 0.0000 0.2422 0.5000
Tl1 Tl 0.0000 0.0000 0.0000
Tl2 Tl 0.3333 0.6667 0.5000
```

Largest 8 diffraction maxima, by intensity, 10° ≤ 2θ ≤ 90°:
2theta, intensity, h k l
33.39, 100, 2 0 1
41.27, 49, 3 0 0
30.39, 48, 1 1 1
23.50, 38, 1 1 0
65.17, 26, 3 2 1
38.53, 25, 0 0 2
23.37, 23, 1 0 1
57.76, 17, 3 0 2


YWN3: calculated powder X-ray diffraction pattern (Cu Kα (weighted mean of Kα1 and Kα2)), based on a PBE-relaxed structure.
Peak positions follow from Bragg's law for the DFT cell and can differ from measured ones.

```
data_YWN3
_symmetry_space_group_name_H-M 'C 1 2/c 1'
_symmetry_Int_Tables_number 15
_cell_length_a 11.189
_cell_length_b 9.645
_cell_length_c 6.311
_cell_angle_alpha 90.00
_cell_angle_beta 112.18
_cell_angle_gamma 90.00
loop_
_symmetry_equiv_pos_as_xyz
'x,y,z'
'-x,-y,-z'
'-x,y,-z+1/2'
'x,-y,z+1/2'
'x+1/2,y+1/2,z'
'-x+1/2,-y+1/2,-z'
'-x+1/2,y+1/2,-z+1/2'
'x+1/2,-y+1/2,z+1/2'
loop_
_atom_site_label
_atom_site_type_symbol
_atom_site_fract_x
_atom_site_fract_y
_atom_site_fract_z
Y1 Y 0.000 0.090 0.250
Y2 Y 0.000 0.289 0.750
W1 W 0.209 0.411 0.225
N1 N 0.111 0.108 0.655
N2 N 0.131 0.245 0.160
N3 N 0.145 0.489 0.927
```

Largest 8 diffraction maxima, by intensity, 10° ≤ 2θ ≤ 90°:
2theta, intensity, h k l
25.92, 100, 2 2 -1
30.60, 47, 0 0 2
32.85, 35, 2 2 1
27.43, 35, 3 1 0
23.92, 28, 0 2 1
47.14, 22, 2 2 -3
49.65, 22, 5 3 -1
34.47, 21, 1 3 1


Q: Number 2 is which compound?
A: DyMgTl


Q: Number 2 is which compound?
A: DyMgTl


Q: What is the formula in the first record?
A: K8CaTe6